Entry 1:
Diffraction record for Tc2Os3W. The powder X-ray diffraction pattern is simulated, not measured: it uses a structure optimized by DFT (GGA-PBE) and Cu Kα, 1.54184 Å.
Intensities are scaled so that the largest is 1000.

Structural model:
Lattice parameters (Å, degrees): 4.772 5.499 7.285 79.13 71.03 89.74
Sites, in units of the cell vectors:
Tc 0.080 0.213 0.159
Tc 0.086 0.704 0.164
Tc 0.914 0.296 0.836
Tc 0.920 0.787 0.841
Os 0.254 0.631 0.499
Os 0.409 0.535 0.834
Os 0.415 0.043 0.834
Os 0.585 0.957 0.166
Os 0.591 0.465 0.166
Os 0.746 0.369 0.501
W 0.256 0.137 0.494
W 0.744 0.863 0.506

The 10 most intense peaks (2θ = 10–90°), low angle first:
2theta	I_rel	(hkl)
40.04	1000	0 0 3
40.17	992	2 0 2
46.53	326	2 0 -1
46.70	645	1 2 3
67.92	208	3 2 2
68.13	211	-1 2 4
68.24	206	3 -2 1
82.00	125	4 0 1
82.09	311	-3 2 2
82.26	124	0 4 4

Entry 2:
Diffraction record for YTc2Os. The powder X-ray diffraction pattern is simulated, not measured: it uses a structure optimized by DFT (GGA-PBE) and Cu Kα, 1.54184 Å.
Intensities are scaled so that the largest is 1000.

Structural model:
Lattice parameters (Å, degrees): 6.652 4.382 9.774 90.00 90.00 90.00
Sites, in units of the cell vectors:
Y 0.250 0.250 0.178
Y 0.250 0.750 0.678
Y 0.750 0.250 0.322
Y 0.750 0.750 0.822
Tc 0.051 0.250 0.848
Tc 0.193 0.750 0.969
Tc 0.307 0.250 0.469
Tc 0.449 0.750 0.348
Tc 0.551 0.250 0.652
Tc 0.693 0.750 0.531
Tc 0.807 0.250 0.031
Tc 0.949 0.750 0.152
Os 0.058 0.750 0.407
Os 0.442 0.250 0.907
Os 0.558 0.750 0.093
Os 0.942 0.250 0.593

The 10 most intense peaks (2θ = 10–90°), low angle first:
2theta	I_rel	(hkl)
34.30	288	0 1 3
35.09	1000	2 1 1
36.94	666	1 1 3
38.66	261	2 1 2
41.20	643	0 2 0
44.05	309	2 1 3
44.58	431	1 1 4
44.89	353	3 0 2
46.85	292	3 1 1
62.55	261	3 2 2